[1]
Diffraction record for Mg14CdCo. The powder X-ray diffraction pattern is theoretical, not measured: it uses the GGA-PBE geometry in the Materials Project and copper Kα.

Principal peaks in the range 10° ≤ 2θ ≤ 80°, most intense first:
2θ (°), I/Imax
37.57, 100
37.73, 49
36.34, 35
18.59, 29
32.73, 28
16.27, 20
70.99, 17
58.65, 17

```
Mg14CdCo
1.0
9.889 0.000 0.000
0.000 3.165 5.443
0.000 -3.165 5.443
Mg Cd Co
14 1 1
Direct
0.000 0.000 0.000
0.000 0.004 0.499
0.000 0.498 0.498
0.000 0.499 0.004
0.246 0.668 0.668
0.262 0.161 0.161
0.268 0.161 0.682
0.268 0.682 0.161
0.500 0.498 0.995
0.500 0.995 0.498
0.732 0.161 0.682
0.732 0.682 0.161
0.738 0.161 0.161
0.754 0.668 0.668
0.500 0.503 0.503
0.500 0.001 0.001
```


[2]
Diffraction record for Mg6CdCo. The powder X-ray diffraction pattern is theoretical, not measured: it uses the GGA-PBE geometry in the Materials Project and copper Kα.

Principal peaks in the range 10° ≤ 2θ ≤ 80°, most intense first:
2θ (°), I/Imax
38.49, 100
38.72, 49
16.73, 40
24.85, 39
37.05, 36
33.57, 34
18.28, 30
50.85, 20

```
Mg6CdCo
1.0
4.853 0.000 0.000
0.000 6.181 0.000
0.000 0.000 10.597
Mg Cd Co
12 2 2
Direct
0.000 0.000 0.000
0.000 0.000 0.491
0.000 0.235 0.236
0.000 0.265 0.736
0.000 0.500 0.500
0.000 0.500 0.991
0.000 0.735 0.736
0.000 0.765 0.236
0.500 0.249 0.907
0.500 0.251 0.407
0.500 0.749 0.407
0.500 0.751 0.907
0.500 0.000 0.657
0.500 0.500 0.157
0.500 0.000 0.157
0.500 0.500 0.657
```


[3]
Diffraction record for Mg6CdCo. The powder X-ray diffraction pattern is theoretical, not measured: it uses the GGA-PBE geometry in the Materials Project and copper Kα.

Principal peaks in the range 10° ≤ 2θ ≤ 80°, most intense first:
2θ (°), I/Imax
38.52, 100
16.67, 58
24.76, 49
38.77, 42
36.71, 37
34.61, 24
33.70, 22
67.32, 18

```
Mg6CdCo
1.0
4.896 0.000 0.000
0.000 6.158 0.000
0.000 0.000 10.554
Mg Cd Co
12 2 2
Direct
0.000 0.000 0.000
0.000 0.236 0.742
0.000 0.264 0.242
0.000 0.500 0.500
0.000 0.736 0.242
0.000 0.764 0.742
0.500 0.000 0.168
0.500 0.250 0.417
0.500 0.250 0.917
0.500 0.500 0.668
0.500 0.750 0.417
0.500 0.750 0.917
0.000 0.000 0.503
0.000 0.500 0.003
0.500 0.000 0.679
0.500 0.500 0.179
```


[4]
Diffraction record for Mg14CdCo. The powder X-ray diffraction pattern is theoretical, not measured: it uses the GGA-PBE geometry in the Materials Project and copper Kα.

Principal peaks in the range 10° ≤ 2θ ≤ 80°, most intense first:
2θ (°), I/Imax
37.71, 100
16.29, 33
32.91, 28
36.26, 24
24.29, 20
71.04, 18
66.19, 17
58.77, 17

```
Mg14CdCo
1.0
6.285 0.000 0.000
-3.142 5.443 0.000
0.000 0.000 9.909
Mg Cd Co
14 1 1
Direct
0.000 0.000 0.248
0.000 0.000 0.752
0.014 0.507 0.260
0.014 0.507 0.740
0.330 0.165 0.500
0.335 0.167 0.000
0.493 0.507 0.260
0.493 0.507 0.740
0.493 0.986 0.260
0.493 0.986 0.740
0.833 0.167 0.000
0.833 0.665 0.000
0.835 0.165 0.500
0.835 0.670 0.500
0.333 0.667 0.000
0.333 0.667 0.500
```


[5]
Diffraction record for CdCo3N. The powder X-ray diffraction pattern is theoretical, not measured: it uses the GGA-PBE geometry in the Materials Project and copper Kα.

Principal peaks in the range 10° ≤ 2θ ≤ 80°, most intense first:
2θ (°), I/Imax
40.53, 100
47.15, 56
68.89, 33
32.86, 14
23.07, 5
58.66, 5
53.12, 3
78.45, 2

```
CdCo3N
1.0
3.855 0.000 0.000
0.000 3.855 0.000
0.000 0.000 3.855
Cd Co N
1 3 1
Direct
0.000 0.000 0.000
0.000 0.500 0.500
0.500 0.000 0.500
0.500 0.500 0.000
0.500 0.500 0.500
```


[6]
Diffraction record for Cd4CoS5. The powder X-ray diffraction pattern is theoretical, not measured: it uses the GGA-PBE geometry in the Materials Project and copper Kα.

Principal peaks in the range 10° ≤ 2θ ≤ 80°, most intense first:
2θ (°), I/Imax
28.44, 100
25.10, 63
26.50, 44
48.01, 34
44.15, 31
52.23, 23
36.81, 21
44.32, 18

```
Cd4CoS5
1.0
7.609 -2.044 0.000
7.609 2.044 0.000
-0.696 0.000 15.727
Cd Co S
8 2 10
Direct
0.000 0.000 0.000
0.135 0.135 0.223
0.207 0.207 0.577
0.336 0.336 0.820
0.530 0.530 0.412
0.602 0.602 0.788
0.740 0.740 0.027
0.933 0.933 0.614
0.399 0.399 0.197
0.805 0.805 0.377
0.052 0.052 0.507
0.187 0.187 0.739
0.265 0.265 0.122
0.375 0.375 0.339
0.451 0.451 0.710
0.587 0.587 0.952
0.664 0.664 0.317
0.790 0.790 0.523
0.854 0.854 0.915
0.973 0.973 0.162
```


[7]
Diffraction record for Cr8Cd3CuS16. The powder X-ray diffraction pattern is theoretical, not measured: it uses the GGA-PBE geometry in the Materials Project and copper Kα.

Principal peaks in the range 10° ≤ 2θ ≤ 80°, most intense first:
2θ (°), I/Imax
29.00, 100
50.44, 47
50.85, 45
24.60, 40
24.79, 40
29.19, 34
46.25, 33
35.21, 22

```
Cr8Cd3CuS16
1.0
3.618 2.089 11.687
-3.618 2.089 11.687
0.000 -4.178 11.687
Cr Cd Cu S
8 3 1 16
Direct
0.000 0.000 0.000
0.243 0.243 0.746
0.243 0.746 0.243
0.251 0.748 0.748
0.497 0.497 0.497
0.746 0.243 0.243
0.748 0.251 0.748
0.748 0.748 0.251
0.184 0.184 0.184
0.308 0.308 0.308
0.809 0.809 0.809
0.685 0.685 0.685
0.099 0.099 0.664
0.099 0.664 0.099
0.112 0.112 0.112
0.161 0.597 0.597
0.353 0.883 0.883
0.379 0.379 0.379
0.397 0.397 0.833
0.397 0.833 0.397
0.597 0.161 0.597
0.597 0.597 0.161
0.618 0.618 0.618
0.664 0.099 0.099
0.833 0.397 0.397
0.881 0.881 0.881
0.883 0.353 0.883
0.883 0.883 0.353
```


[8]
Diffraction record for Mg14CrCd. The powder X-ray diffraction pattern is theoretical, not measured: it uses the GGA-PBE geometry in the Materials Project and copper Kα.

Principal peaks in the range 10° ≤ 2θ ≤ 80°, most intense first:
2θ (°), I/Imax
37.31, 100
32.75, 27
16.21, 27
35.20, 26
23.86, 20
70.10, 19
64.56, 18
48.84, 17

```
Mg14CrCd
1.0
6.316 0.000 0.000
-3.158 5.470 0.000
0.000 0.000 10.197
Mg Cr Cd
14 1 1
Direct
0.000 0.000 0.250
0.000 0.000 0.750
0.004 0.502 0.249
0.004 0.502 0.751
0.332 0.166 0.500
0.334 0.167 0.000
0.498 0.502 0.249
0.498 0.502 0.751
0.498 0.996 0.249
0.498 0.996 0.751
0.833 0.167 0.000
0.833 0.666 0.000
0.834 0.166 0.500
0.834 0.668 0.500
0.333 0.667 0.000
0.333 0.667 0.500
```


[9]
Diffraction record for Mg14CrCd. The powder X-ray diffraction pattern is theoretical, not measured: it uses the GGA-PBE geometry in the Materials Project and copper Kα.

Principal peaks in the range 10° ≤ 2θ ≤ 80°, most intense first:
2θ (°), I/Imax
37.22, 100
32.69, 27
35.02, 26
18.36, 20
69.89, 19
64.26, 18
48.66, 17
58.34, 17

```
Mg14CrCd
1.0
10.250 0.000 0.000
0.000 3.164 5.478
0.000 -3.164 5.478
Mg Cr Cd
14 1 1
Direct
0.000 0.000 0.000
0.000 0.000 0.500
0.000 0.500 0.000
0.000 0.500 0.500
0.250 0.166 0.166
0.252 0.665 0.665
0.254 0.170 0.665
0.254 0.665 0.170
0.500 0.502 0.998
0.500 0.998 0.502
0.746 0.170 0.665
0.746 0.665 0.170
0.748 0.665 0.665
0.750 0.166 0.166
0.500 0.501 0.501
0.500 0.999 0.999
```


[10]
Diffraction record for MnCr4CdSe8. The powder X-ray diffraction pattern is theoretical, not measured: it uses the GGA-PBE geometry in the Materials Project and copper Kα.

Principal peaks in the range 10° ≤ 2θ ≤ 80°, most intense first:
2θ (°), I/Imax
47.68, 100
33.22, 66
28.66, 49
43.59, 48
27.42, 46
23.32, 28
56.59, 16
69.73, 13

```
MnCr4CdSe8
1.0
0.000 5.394 5.394
5.394 0.000 5.394
5.394 5.394 0.000
Mn Cr Cd Se
1 4 1 8
Direct
0.000 0.000 0.000
0.375 0.375 0.375
0.375 0.375 0.876
0.375 0.876 0.375
0.876 0.375 0.375
0.750 0.750 0.750
0.136 0.136 0.136
0.136 0.136 0.592
0.136 0.592 0.136
0.172 0.609 0.609
0.592 0.136 0.136
0.609 0.172 0.609
0.609 0.609 0.172
0.609 0.609 0.609
```


[11]
Diffraction record for Cr2Cd3N4. The powder X-ray diffraction pattern is theoretical, not measured: it uses the GGA-PBE geometry in the Materials Project and copper Kα.

Principal peaks in the range 10° ≤ 2θ ≤ 80°, most intense first:
2θ (°), I/Imax
29.35, 100
14.55, 99
31.61, 96
38.05, 55
33.32, 37
32.99, 34
48.77, 26
39.69, 26

```
Cr2Cd3N4
1.0
6.692 -4.365 0.000
6.692 4.365 0.000
-2.429 0.000 5.319
Cr Cd N
4 6 8
Direct
0.135 0.352 0.009
0.352 0.135 0.509
0.648 0.865 0.491
0.865 0.648 0.991
0.014 0.986 0.750
0.324 0.663 0.509
0.337 0.676 0.991
0.663 0.324 0.009
0.676 0.337 0.491
0.986 0.014 0.250
0.121 0.600 0.108
0.228 0.248 0.266
0.248 0.228 0.766
0.400 0.879 0.392
0.600 0.121 0.608
0.752 0.772 0.234
0.772 0.752 0.734
0.879 0.400 0.892
```


[12]
Diffraction record for Cr2CdSe3S. The powder X-ray diffraction pattern is theoretical, not measured: it uses the GGA-PBE geometry in the Materials Project and copper Kα.

Principal peaks in the range 10° ≤ 2θ ≤ 80°, most intense first:
2θ (°), I/Imax
27.53, 100
47.88, 90
43.74, 60
33.35, 58
23.41, 55
43.82, 28
28.72, 24
47.74, 23

```
Cr2CdSe3S
1.0
-3.788 3.810 5.374
3.788 -3.810 5.374
3.788 3.810 -5.374
Cr Cd Se S
4 2 6 2
Direct
0.241 0.000 0.241
0.755 0.004 0.250
0.755 0.505 0.750
0.759 0.000 0.759
0.114 0.614 0.500
0.377 0.377 0.000
0.515 0.236 0.279
0.518 0.234 0.717
0.518 0.801 0.283
0.542 0.764 0.778
0.957 0.236 0.721
0.986 0.764 0.222
0.982 0.196 0.214
0.982 0.768 0.786
```


Please write out number 5 again, unchanged.
Diffraction record for CdCo3N. The powder X-ray diffraction pattern is theoretical, not measured: it uses the GGA-PBE geometry in the Materials Project and copper Kα.

Principal peaks in the range 10° ≤ 2θ ≤ 80°, most intense first:
2θ (°), I/Imax
40.53, 100
47.15, 56
68.89, 33
32.86, 14
23.07, 5
58.66, 5
53.12, 3
78.45, 2

```
CdCo3N
1.0
3.855 0.000 0.000
0.000 3.855 0.000
0.000 0.000 3.855
Cd Co N
1 3 1
Direct
0.000 0.000 0.000
0.000 0.500 0.500
0.500 0.000 0.500
0.500 0.500 0.000
0.500 0.500 0.500
```